For Ac5Te4Se2, a DFT-relaxed cell (GGA-PBE, Alexandria) gives the calculated PXRD pattern in this record (Cu Kα X-rays).
No peak broadening, texture or thermal motion is included.

Cell and atoms:
Cell: 4.7551 4.7551 71.1396 Å, 90.00 90.00 120.00°
Space group R-3m (No. 166, hexagonal axes)
Symmetry-distinct sites (fractional):
Ac 0.0000 0.0000 0.0000 (multiplicity 3)
Ac 0.0000 0.0000 0.1191 (multiplicity 6)
Ac 0.0000 0.0000 0.2866 (multiplicity 6)
Te 0.0000 0.0000 0.0736 (multiplicity 6)
Te 0.0000 0.0000 0.1915 (multiplicity 6)
Se 0.0000 0.0000 0.3572 (multiplicity 6)

Largest 10 diffraction maxima, low angle first, 2θ = 15–90°:
two_theta, I/Imax, hkl
21.62, 57, 1 0 1
22.48, 25, 0 1 5
24.98, 49, 1 0 10
25.65, 49, 0 1 11
27.89, 40, 0 1 14
30.45, 69, 0 1 17
37.84, 100, 1 1 0
38.45, 46, 1 0 25
49.33, 18, 2 0 17
67.95, 34, 1 1 42


For PrPuNiIr, a DFT-relaxed cell (GGA-PBE, Alexandria) gives the calculated PXRD pattern in this record (Cu Kα X-rays).
No peak broadening, texture or thermal motion is included.

Cell and atoms:
Cell: 6.9611 6.9611 6.9611 Å, 90.00 90.00 90.00°
Space group F-43m (No. 216)
Symmetry-distinct sites (fractional):
Pr 0.0000 0.0000 0.0000 (multiplicity 4)
Pu 0.0000 0.0000 0.5000 (multiplicity 4)
Ni 0.2500 0.2500 0.2500 (multiplicity 4)
Ir 0.2500 0.2500 0.7500 (multiplicity 4)

Largest 10 diffraction maxima, low angle first, 2θ = 15–90°:
two_theta, I/Imax, hkl
22.12, 14, 1 1 1
25.59, 5, 2 0 0
36.51, 100, 2 2 0
43.10, 8, 3 1 1
52.59, 18, 4 0 0
57.73, 3, 3 3 1
65.71, 36, 4 2 2
77.58, 11, 4 4 0
81.87, 3, 5 3 1
88.92, 17, 6 2 0


For CdIn4, a DFT-relaxed cell (GGA-PBE, Alexandria) gives the calculated PXRD pattern in this record (Cu Kα X-rays).
No peak broadening, texture or thermal motion is included.

Cell and atoms:
Cell: 4.3127 4.3127 15.4376 Å, 90.00 90.00 90.00°
Space group I4/mmm (No. 139)
Symmetry-distinct sites (fractional):
Cd 0.0000 0.0000 0.0000 (multiplicity 2)
In 0.0000 0.0000 0.4029 (multiplicity 4)
In 0.0000 0.5000 0.2500 (multiplicity 4)

Largest 10 diffraction maxima, low angle first, 2θ = 15–90°:
two_theta, I/Imax, hkl
26.97, 25, 1 0 3
31.54, 100, 1 1 2
35.77, 47, 1 0 5
37.59, 30, 1 1 4
41.89, 42, 2 0 0
46.21, 12, 1 0 7
56.24, 24, 2 1 5
60.74, 13, 2 2 0
68.07, 19, 1 1 10
70.06, 19, 3 1 2